Structure and theoretical X-ray diffraction stick pattern of RbMo3Cl7 (a cell relaxed with PBE; CuKα).
No peak broadening, texture or thermal motion is included.

```
data_RbMo3Cl7
_cell_length_a 12.4873
_cell_length_b 12.4873
_cell_length_c 9.5203
_cell_angle_alpha 110.23
_cell_angle_beta 110.23
_cell_angle_gamma 74.67
_symmetry_space_group_name_H-M 'P 1'
_symmetry_Int_Tables_number 1
loop_
_symmetry_equiv_pos_as_xyz
'x,y,z'
loop_
_atom_site_label
_atom_site_type_symbol
_atom_site_fract_x
_atom_site_fract_y
_atom_site_fract_z
_atom_site_occupancy
Rb1 Rb 0.0000 0.0000 0.0000 1
Rb2 Rb 0.0000 0.0000 0.5000 1
Rb3 Rb 0.4316 0.5684 0.7500 1
Rb4 Rb 0.5684 0.4316 0.2500 1
Mo1 Mo 0.0478 0.3414 0.9454 1
Mo2 Mo 0.0693 0.5131 0.8629 1
Mo3 Mo 0.1373 0.5179 0.1591 1
Mo4 Mo 0.3414 0.0478 0.4454 1
Mo5 Mo 0.4821 0.8627 0.3409 1
Mo6 Mo 0.4869 0.9307 0.6371 1
Mo7 Mo 0.5131 0.0693 0.3629 1
Mo8 Mo 0.5179 0.1373 0.6591 1
Mo9 Mo 0.6586 0.9522 0.5546 1
Mo10 Mo 0.8627 0.4821 0.8409 1
Mo11 Mo 0.9307 0.4869 0.1371 1
Mo12 Mo 0.9522 0.6586 0.0546 1
Cl1 Cl 0.0201 0.6556 0.3328 1
Cl2 Cl 0.1093 0.3544 0.2279 1
Cl3 Cl 0.1142 0.1279 0.8673 1
Cl4 Cl 0.1279 0.1142 0.3673 1
Cl5 Cl 0.1492 0.6811 0.0715 1
Cl6 Cl 0.1607 0.5301 0.6841 1
Cl7 Cl 0.2409 0.3787 0.9700 1
Cl8 Cl 0.3189 0.8508 0.4285 1
Cl9 Cl 0.3221 0.5392 0.3674 1
Cl10 Cl 0.3444 0.9799 0.1672 1
Cl11 Cl 0.3544 0.1093 0.7279 1
Cl12 Cl 0.3787 0.2409 0.4700 1
Cl13 Cl 0.4608 0.6779 0.1326 1
Cl14 Cl 0.4699 0.8393 0.8159 1
Cl15 Cl 0.5301 0.1607 0.1841 1
Cl16 Cl 0.5392 0.3221 0.8674 1
Cl17 Cl 0.6213 0.7591 0.5300 1
Cl18 Cl 0.6456 0.8907 0.2721 1
Cl19 Cl 0.6556 0.0201 0.8328 1
Cl20 Cl 0.6779 0.4608 0.6327 1
Cl21 Cl 0.6811 0.1492 0.5715 1
Cl22 Cl 0.7591 0.6213 0.0300 1
Cl23 Cl 0.8393 0.4699 0.3159 1
Cl24 Cl 0.8508 0.3189 0.9285 1
Cl25 Cl 0.8721 0.8858 0.6327 1
Cl26 Cl 0.8858 0.8721 0.1327 1
Cl27 Cl 0.8907 0.6456 0.7721 1
Cl28 Cl 0.9799 0.3444 0.6672 1
```

The 10 most intense peaks (15° ≤ 2θ ≤ 90°), in order of rising 2θ:
- 2θ = 15.11°, intensity 44
- 2θ = 15.33°, intensity 100
- 2θ = 24.09°, intensity 17
- 2θ = 29.97°, intensity 14
- 2θ = 33.17°, intensity 14
- 2θ = 34.44°, intensity 16
- 2θ = 35.44°, intensity 16
- 2θ = 42.02°, intensity 26
- 2θ = 42.40°, intensity 30
- 2θ = 49.20°, intensity 26